Diffraction record for BaNb2F12. The powder diffractogram is calculated, not measured: it uses a structure optimized by DFT (PBE) and Cu Kα (weighted mean of Kα1 and Kα2).
Peak positions follow from Bragg's law for the DFT cell and can differ from measured ones.

Crystal structure
abc: 4.9287 5.2246 8.4836
angles: 75.78 79.29 62.32
Space group P1 (No. 1)
Unique sites:
Ba: 0.0000 0.0000 0.0000 x1
Nb: 0.3273 0.2847 0.2871 x1
Nb: 0.4615 0.5190 0.6541 x1
F: 0.0274 0.7347 0.6804 x1
F: 0.0892 0.1351 0.4426 x1
F: 0.1849 0.6587 0.3419 x1
F: 0.4063 0.2529 0.8519 x1
F: 0.4381 0.9829 0.1529 x1
F: 0.4587 0.7865 0.7748 x1
F: 0.4656 0.2280 0.5435 x1
F: 0.4799 0.4860 0.0741 x1
F: 0.6237 0.6808 0.4577 x1
F: 0.7575 0.1044 0.2913 x1
F: 0.8831 0.2935 0.7126 x1
F: 0.9784 0.4808 0.1476 x1

Main lines, sorted by position (15 to 90 degrees two-theta):
| 2θ (°) | I (rel.) | hkl |
| --- | --- | --- |
| 21.20 | 100 | 1 1 1 |
| 23.95 | 62 | 1 0 -1 |
| 24.05 | 85 | 0 1 -1 |
| 26.33 | 42 | 1 1 2 |
| 26.48 | 67 | 0 1 2 |
| 28.66 | 42 | 1 0 2 |
| 34.21 | 50 | 1 -1 0 |
| 34.47 | 39 | 1 2 1 |

=====

Diffraction record for BaNb2Xe5F22. The powder diffractogram is calculated, not measured: it uses a structure optimized by DFT (PBE) and Cu Kα (weighted mean of Kα1 and Kα2).
Peak positions follow from Bragg's law for the DFT cell and can differ from measured ones.

Crystal structure
abc: 11.4940 13.1897 13.4606
angles: 90.00 90.00 90.00
Space group Fmmm (No. 69)
Unique sites:
Ba: 0.0000 0.0000 0.0000 x4
Nb: 0.2500 0.0000 0.2500 x8
Xe: 0.0000 0.0000 0.5000 x4
Xe: 0.0000 0.2500 0.2500 x8
Xe: 0.2500 0.2500 0.0000 x8
F: 0.0000 0.1556 0.5000 x8
F: 0.0000 0.1806 0.1122 x16
F: 0.1110 0.0000 0.1712 x16
F: 0.1802 0.1039 0.3311 x32
F: 0.2017 0.0996 0.0000 x16

Main lines, sorted by position (15 to 90 degrees two-theta):
| 2θ (°) | I (rel.) | hkl |
| --- | --- | --- |
| 24.43 | 100 | 2 2 2 |
| 26.49 | 19 | 0 0 4 |
| 27.04 | 14 | 0 4 0 |
| 31.12 | 16 | 4 0 0 |
| 38.21 | 15 | 0 4 4 |
| 45.53 | 19 | 2 2 6 |
| 46.23 | 21 | 2 6 2 |
| 50.08 | 14 | 4 4 4 |

=====

Diffraction record for Ba2Tm2Se2OF2. The powder diffractogram is calculated, not measured: it uses a structure optimized by DFT (PBE) and Cu Kα (weighted mean of Kα1 and Kα2).
Peak positions follow from Bragg's law for the DFT cell and can differ from measured ones.

Crystal structure
abc: 4.4693 4.4693 19.4841
angles: 90.00 90.00 90.00
Space group I4/mmm (No. 139)
Unique sites:
Ba: 0.0000 0.0000 0.1758 x4
Tm: 0.0000 0.5000 0.0000 x4
Se: 0.0000 0.0000 0.4020 x4
O: 0.0000 0.0000 0.0000 x2
F: 0.0000 0.5000 0.2500 x4

Main lines, sorted by position (15 to 90 degrees two-theta):
| 2θ (°) | I (rel.) | hkl |
| --- | --- | --- |
| 24.17 | 30 | 1 0 3 |
| 29.72 | 65 | 1 1 2 |
| 30.43 | 57 | 1 0 5 |
| 33.81 | 100 | 1 1 4 |
| 40.36 | 65 | 2 0 0 |
| 47.11 | 37 | 1 1 8 |
| 51.38 | 25 | 2 1 5 |
| 69.22 | 25 | 3 1 4 |

=====

Diffraction record for BaOs2F12. The powder diffractogram is calculated, not measured: it uses a structure optimized by DFT (PBE) and Cu Kα (weighted mean of Kα1 and Kα2).
Peak positions follow from Bragg's law for the DFT cell and can differ from measured ones.

Crystal structure
abc: 4.8910 5.1963 8.5739
angles: 76.12 78.65 62.51
Space group P1 (No. 1)
Unique sites:
Ba: 0.0000 0.0000 0.0000 x1
Os: 0.3160 0.3007 0.2631 x1
Os: 0.4835 0.4980 0.6734 x1
F: 0.0532 0.7276 0.6660 x1
F: 0.1229 0.1371 0.4373 x1
F: 0.1919 0.6408 0.3489 x1
F: 0.3721 0.2843 0.8767 x1
F: 0.4424 0.9710 0.1537 x1
F: 0.4814 0.7726 0.7911 x1
F: 0.4927 0.4889 0.0738 x1
F: 0.4959 0.2033 0.5804 x1
F: 0.6239 0.6696 0.4772 x1
F: 0.7285 0.1088 0.3140 x1
F: 0.9107 0.2677 0.7156 x1
F: 0.9495 0.4926 0.1493 x1

Main lines, sorted by position (15 to 90 degrees two-theta):
| 2θ (°) | I (rel.) | hkl |
| --- | --- | --- |
| 20.58 | 55 | 1 0 0 |
| 21.33 | 100 | 1 1 1 |
| 23.91 | 73 | 0 1 -1 |
| 24.18 | 61 | 1 0 -1 |
| 26.26 | 88 | 1 1 -1 |
| 26.53 | 78 | 0 1 2 |
| 28.33 | 62 | 1 0 2 |
| 43.69 | 46 | 1 1 -3 |

=====

Diffraction record for BaPdF3. The powder diffractogram is calculated, not measured: it uses a structure optimized by DFT (PBE) and Cu Kα (weighted mean of Kα1 and Kα2).
Peak positions follow from Bragg's law for the DFT cell and can differ from measured ones.

Crystal structure
abc: 4.3585 4.3585 4.3214
angles: 90.00 90.00 90.00
Space group P4/mmm (No. 123)
Unique sites:
Ba: 0.0000 0.0000 0.0000 x1
Pd: 0.5000 0.5000 0.5000 x1
F: 0.0000 0.5000 0.5000 x2
F: 0.5000 0.5000 0.0000 x1

Main lines, sorted by position (15 to 90 degrees two-theta):
| 2θ (°) | I (rel.) | hkl |
| --- | --- | --- |
| 28.97 | 51 | 1 1 0 |
| 29.10 | 100 | 1 0 1 |
| 41.43 | 35 | 2 0 0 |
| 41.81 | 17 | 0 0 2 |
| 51.43 | 41 | 2 1 1 |
| 51.66 | 20 | 1 1 2 |
| 60.32 | 21 | 2 0 2 |
| 68.05 | 18 | 3 1 0 |

=====

Diffraction record for BaTe2Pt2F2. The powder diffractogram is calculated, not measured: it uses a structure optimized by DFT (PBE) and Cu Kα (weighted mean of Kα1 and Kα2).
Peak positions follow from Bragg's law for the DFT cell and can differ from measured ones.

Crystal structure
abc: 3.8006 3.8006 10.1309
angles: 90.00 90.00 90.00
Space group P-4m2 (No. 115)
Unique sites:
Ba: 0.0000 0.0000 0.0000 x1
Te: 0.0000 0.5000 0.2683 x2
Pt: 0.0000 0.5000 0.6674 x2
F: 0.0000 0.0000 0.5000 x1
F: 0.5000 0.5000 0.5000 x1

Main lines, sorted by position (15 to 90 degrees two-theta):
| 2θ (°) | I (rel.) | hkl |
| --- | --- | --- |
| 17.51 | 32 | 0 0 2 |
| 26.39 | 54 | 0 0 3 |
| 29.38 | 49 | 1 0 2 |
| 33.34 | 41 | 1 1 0 |
| 34.53 | 34 | 1 1 1 |
| 37.90 | 100 | 1 1 2 |
| 47.87 | 45 | 2 0 0 |
| 51.08 | 35 | 1 0 5 |

=====

Diffraction record for Ba2ZnSe2F2. The powder diffractogram is calculated, not measured: it uses a structure optimized by DFT (PBE) and Cu Kα (weighted mean of Kα1 and Kα2).
Peak positions follow from Bragg's law for the DFT cell and can differ from measured ones.

Crystal structure
abc: 4.2222 4.2222 9.1827
angles: 90.00 90.00 90.00
Space group P-4m2 (No. 115)
Unique sites:
Ba: 0.0000 0.5000 0.1725 x2
Zn: 0.5000 0.5000 0.5000 x1
Se: 0.0000 0.5000 0.6526 x2
F: 0.0000 0.0000 0.0000 x1
F: 0.5000 0.5000 0.0000 x1

Main lines, sorted by position (15 to 90 degrees two-theta):
| 2θ (°) | I (rel.) | hkl |
| --- | --- | --- |
| 23.19 | 19 | 1 0 1 |
| 28.72 | 100 | 1 0 2 |
| 29.93 | 31 | 1 1 0 |
| 35.88 | 39 | 1 1 2 |
| 42.84 | 34 | 2 0 0 |
| 44.95 | 26 | 1 0 4 |
| 52.39 | 37 | 2 1 2 |
| 63.83 | 18 | 2 1 4 |

=====

Diffraction record for BaTbF6. The powder diffractogram is calculated, not measured: it uses a structure optimized by DFT (PBE) and Cu Kα (weighted mean of Kα1 and Kα2).
Peak positions follow from Bragg's law for the DFT cell and can differ from measured ones.

Crystal structure
abc: 7.2827 8.3098 8.4335
angles: 102.96 95.02 112.75
Space group P-1 (No. 2)
Unique sites:
Ba: 0.2169 0.2031 0.2641 x2
Ba: 0.2215 0.7393 0.4530 x2
Tb: 0.2558 0.7242 0.9141 x2
Tb: 0.3324 0.2371 0.7560 x2
F: 0.0000 0.5000 0.0000 x1
F: 0.0039 0.4048 0.2985 x2
F: 0.0123 0.8513 0.2505 x2
F: 0.0684 0.8752 0.0175 x2
F: 0.1519 0.2976 0.5664 x2
F: 0.2041 0.9402 0.7538 x2
F: 0.2691 0.4630 0.9261 x2
F: 0.3595 0.0923 0.5058 x2
F: 0.3697 0.7948 0.1913 x2
F: 0.3943 0.6904 0.6954 x2
F: 0.4067 0.2533 0.0211 x2
F: 0.4275 0.5501 0.3172 x2
F: 0.5000 0.0000 0.0000 x1

Main lines, sorted by position (15 to 90 degrees two-theta):
| 2θ (°) | I (rel.) | hkl |
| --- | --- | --- |
| 24.20 | 100 | 0 2 0 |
| 25.42 | 60 | 1 -1 2 |
| 26.24 | 53 | 1 1 -2 |
| 26.76 | 43 | -1 1 2 |
| 27.07 | 49 | 2 0 0 |
| 27.78 | 38 | 2 -2 0 |
| 28.09 | 32 | 1 0 2 |
| 45.33 | 34 | 1 -4 2 |

=====

Diffraction record for Ba2ZnTe2F2. The powder diffractogram is calculated, not measured: it uses a structure optimized by DFT (PBE) and Cu Kα (weighted mean of Kα1 and Kα2).
Peak positions follow from Bragg's law for the DFT cell and can differ from measured ones.

Crystal structure
abc: 4.4190 4.4190 9.5964
angles: 90.00 90.00 90.00
Space group P-4m2 (No. 115)
Unique sites:
Ba: 0.0000 0.5000 0.1566 x2
Zn: 0.0000 0.0000 0.5000 x1
Te: 0.0000 0.5000 0.6609 x2
F: 0.0000 0.0000 0.0000 x1
F: 0.5000 0.5000 0.0000 x1

Main lines, sorted by position (15 to 90 degrees two-theta):
| 2θ (°) | I (rel.) | hkl |
| --- | --- | --- |
| 27.44 | 100 | 1 0 2 |
| 28.57 | 32 | 1 1 0 |
| 34.25 | 26 | 1 1 2 |
| 40.84 | 30 | 2 0 0 |
| 42.89 | 20 | 1 0 4 |
| 47.80 | 19 | 1 1 4 |
| 49.91 | 38 | 2 1 2 |
| 60.72 | 14 | 2 1 4 |

=====

Diffraction record for Ba6Zn7F26. The powder diffractogram is calculated, not measured: it uses a structure optimized by DFT (PBE) and Cu Kα (weighted mean of Kα1 and Kα2).
Peak positions follow from Bragg's law for the DFT cell and can differ from measured ones.

Crystal structure
abc: 19.1563 5.8856 12.1234
angles: 90.00 128.83 90.00
Space group C2/m (No. 12)
Unique sites:
Ba: 0.1424 0.0000 0.4006 x4
Ba: 0.1460 0.5000 0.1523 x4
Ba: 0.1568 0.0000 0.8988 x4
Zn: 0.0000 0.0000 0.0000 x2
Zn: 0.0000 0.2378 0.5000 x4
Zn: 0.0123 0.5000 0.7739 x4
Zn: 0.2209 0.5000 0.7107 x4
F: 0.0092 0.2245 0.6743 x8
F: 0.0173 0.2514 0.9048 x8
F: 0.0882 0.5000 0.5797 x4
F: 0.0986 0.0000 0.5900 x4
F: 0.1183 0.5000 0.3399 x4
F: 0.1305 0.0000 0.1575 x4
F: 0.1439 0.5000 0.9156 x4
F: 0.2423 0.2597 0.6175 x8
F: 0.2453 0.2663 0.8524 x8

Main lines, sorted by position (15 to 90 degrees two-theta):
| 2θ (°) | I (rel.) | hkl |
| --- | --- | --- |
| 27.64 | 100 | 1 1 2 |
| 27.78 | 91 | 5 1 -2 |
| 29.31 | 32 | 5 1 -1 |
| 29.47 | 65 | 4 0 -4 |
| 30.37 | 35 | 0 2 0 |
| 38.98 | 40 | 4 2 0 |
| 42.83 | 66 | 4 2 -4 |
| 52.35 | 33 | 1 3 2 |

=====

Diffraction record for BaZnF4. The powder diffractogram is calculated, not measured: it uses a structure optimized by DFT (PBE) and Cu Kα (weighted mean of Kα1 and Kα2).
Peak positions follow from Bragg's law for the DFT cell and can differ from measured ones.

Crystal structure
abc: 4.0202 5.8228 14.0520
angles: 90.00 106.16 90.00
Space group Pc (No. 7)
Unique sites:
Ba: 0.0000 0.1146 0.0000 x2
Ba: 0.7668 0.3799 0.2668 x2
Zn: 0.2712 0.1339 0.7672 x2
Zn: 0.4970 0.3717 0.4995 x2
F: 0.1821 0.3963 0.6805 x2
F: 0.1910 0.1463 0.1909 x2
F: 0.3816 0.3807 0.8809 x2
F: 0.3876 0.1198 0.3859 x2
F: 0.5749 0.3475 0.0757 x2
F: 0.5841 0.1098 0.5863 x2
F: 0.7999 0.1254 0.7975 x2
F: 0.9680 0.3785 0.4692 x2

Main lines, sorted by position (15 to 90 degrees two-theta):
| 2θ (°) | I (rel.) | hkl |
| --- | --- | --- |
| 26.41 | 100 | 0 0 4 |
| 27.77 | 81 | 1 1 -2 |
| 30.00 | 71 | 1 1 1 |
| 30.17 | 68 | 1 1 -3 |
| 31.43 | 73 | 0 2 1 |
| 38.17 | 44 | 1 2 -1 |
| 45.11 | 56 | 2 0 -2 |
| 45.84 | 83 | 0 2 5 |